(1)
Structure and theoretical powder XRD pattern of Pr3In3NiAgPd (a structure optimized by DFT (PBE); copper Kα).

Top 12 peaks for 10 to 80 degrees two-theta, in order of rising 2θ:
2θ (°)	Rel. int.	h k l
31.79	100	1 1 1
34.51	74	2 0 1
35.05	58	2 1 0
39.93	27	3 0 0
41.73	24	1 2 1
44.71	23	0 0 2
48.45	10	1 3 0
53.78	19	1 3 1
58.04	26	2 1 2
61.47	15	3 0 2
64.18	25	3 2 1
67.44	11	4 1 1

Atomic structure:
```
data_Pr3In3NiAgPd
_symmetry_space_group_name_H-M 'P -6'
_symmetry_Int_Tables_number 174
_cell_length_a 7.8216
_cell_length_b 7.8216
_cell_length_c 4.0541
_cell_angle_alpha 90.00
_cell_angle_beta 90.00
_cell_angle_gamma 120.00
loop_
_symmetry_equiv_pos_as_xyz
'x,y,z'
'-x+y,-x,-z'
'-y,x-y,z'
'x,y,-z'
'-x+y,-x,z'
'-y,x-y,-z'
loop_
_atom_site_label
_atom_site_type_symbol
_atom_site_fract_x
_atom_site_fract_y
_atom_site_fract_z
Pr1 Pr 0.0779 0.7336 0.0000
In1 In 0.4267 0.0915 0.5000
Ni1 Ni 0.6667 0.3333 0.0000
Ag1 Ag 0.0000 0.0000 0.5000
Pd1 Pd 0.3333 0.6667 0.5000
```

=====

(2)
Structure and theoretical powder XRD pattern of InNiAgTeS2 (a structure optimized by DFT (PBE); copper Kα).

Top 12 peaks for 10 to 80 degrees two-theta, in order of rising 2θ:
2θ (°)	Rel. int.	h k l
12.00	17	0 2 0
16.74	62	0 0 2
20.65	15	0 2 2
32.58	100	1 3 0
33.86	55	0 0 4
36.56	23	0 6 0
36.84	49	1 3 2
40.46	27	0 6 2
47.69	66	1 3 4
50.68	18	0 6 4
55.43	13	2 0 0
66.56	14	2 0 4

Atomic structure:
```
data_InNiAgTeS2
_symmetry_space_group_name_H-M 'C m c m'
_symmetry_Int_Tables_number 63
_symmetry_space_group_name_Hall '-C 2c 2'
_cell_length_a 3.315
_cell_length_b 14.748
_cell_length_c 10.590
_cell_angle_alpha 90.00
_cell_angle_beta 90.00
_cell_angle_gamma 90.00
loop_
_atom_site_label
_atom_site_type_symbol
_atom_site_fract_x
_atom_site_fract_y
_atom_site_fract_z
In1 In 0.000 0.170 0.250
Ni1 Ni 0.000 0.500 0.000
Ag1 Ag 0.000 0.177 0.750
Te1 Te 0.000 0.487 0.250
S1 S 0.000 0.104 0.006
```

=====

(3)
Structure and theoretical powder XRD pattern of TbTm2In3Ni2Ag (a structure optimized by DFT (PBE); copper Kα).

Top 12 peaks for 10 to 80 degrees two-theta, in order of rising 2θ:
2θ (°)	Rel. int.	h k l
27.30	15	0 4 0
33.26	100	1 0 2
36.07	81	1 2 2
36.38	40	0 5 1
41.46	33	0 3 3
47.26	21	2 0 0
50.36	17	0 2 4
56.10	18	1 7 1
61.07	17	2 5 1
64.65	17	2 3 3
67.01	28	1 7 3
71.53	12	2 2 4

Atomic structure:
```
data_TbTm2In3Ni2Ag
_symmetry_space_group_name_H-M 'A m m 2'
_symmetry_Int_Tables_number 38
_cell_length_a 3.847
_cell_length_b 13.072
_cell_length_c 7.541
_cell_angle_alpha 90.00
_cell_angle_beta 90.00
_cell_angle_gamma 90.00
loop_
_symmetry_equiv_pos_as_xyz
'x,y,z'
'-x,-y,z'
'-x,y,z'
'x,-y,z'
'x,y+1/2,z+1/2'
'-x,-y+1/2,z+1/2'
'-x,y+1/2,z+1/2'
'x,-y+1/2,z+1/2'
loop_
_atom_site_label
_atom_site_type_symbol
_atom_site_fract_x
_atom_site_fract_y
_atom_site_fract_z
Tb1 Tb 0.000 0.000 0.000
Tm1 Tm 0.000 0.206 0.616
In1 In 0.500 0.000 0.683
In2 In 0.500 0.137 0.276
Ni1 Ni 0.500 0.168 0.911
Ag1 Ag 0.000 0.000 0.413
```

=====

(4)
Structure and theoretical powder XRD pattern of Y3In3NiAg2 (a structure optimized by DFT (PBE); copper Kα).

Top 12 peaks for 10 to 80 degrees two-theta, in order of rising 2θ:
2θ (°)	Rel. int.	h k l
22.56	11	0 0 1
32.51	100	1 1 1
35.25	76	2 0 1
35.62	62	2 1 0
40.58	38	3 0 0
42.57	43	2 1 1
46.05	25	0 0 2
54.82	9	3 1 1
59.54	27	2 1 2
63.03	19	3 0 2
65.43	29	3 2 1
68.76	13	4 1 1

Atomic structure:
```
data_Y3In3NiAg2
_symmetry_space_group_name_H-M 'P -6 2 m'
_symmetry_Int_Tables_number 189
_symmetry_space_group_name_Hall 'P -6 -2'
_cell_length_a 7.7011
_cell_length_b 7.7011
_cell_length_c 3.9418
_cell_angle_alpha 90.00
_cell_angle_beta 90.00
_cell_angle_gamma 120.00
loop_
_atom_site_label
_atom_site_type_symbol
_atom_site_fract_x
_atom_site_fract_y
_atom_site_fract_z
Y1 Y 0.0000 0.6004 0.0000
In1 In 0.0000 0.2459 0.5000
Ni1 Ni 0.0000 0.0000 0.0000
Ag1 Ag 0.3333 0.6667 0.5000
```